Rb3In5Au6: simulated PXRD pattern (λ = 1.5418 Å (Cu Kα)), based on a cell relaxed with GGA-PBE.

The 10 most intense peaks (5 to 70 degrees two-theta), in order of rising 2θ:
d (Å), I/Imax
9.300, 23
6.160, 60
3.103, 47
2.942, 100
2.388, 21
2.372, 44
2.363, 29
2.267, 48
2.091, 27
1.674, 20

Cell and atoms:
```
Rb3In5Au6
1.0
4.745 0.000 0.000
0.000 14.178 0.000
0.000 0.000 12.321
Rb In Au
6 10 12
direct
0.250 0.106 0.248 Rb
0.250 0.394 0.248 Rb
0.250 0.750 0.237 Rb
0.750 0.250 0.763 Rb
0.750 0.606 0.752 Rb
0.750 0.894 0.752 Rb
0.250 0.074 0.647 In
0.250 0.426 0.647 In
0.250 0.611 0.993 In
0.250 0.750 0.567 In
0.250 0.889 0.993 In
0.750 0.111 0.007 In
0.750 0.250 0.433 In
0.750 0.389 0.007 In
0.750 0.574 0.353 In
0.750 0.926 0.353 In
0.250 0.065 0.877 Au
0.250 0.250 0.546 Au
0.250 0.250 0.992 Au
0.250 0.435 0.877 Au
0.250 0.562 0.477 Au
0.250 0.938 0.477 Au
0.750 0.062 0.523 Au
0.750 0.438 0.523 Au
0.750 0.565 0.123 Au
0.750 0.750 0.008 Au
0.750 0.750 0.454 Au
0.750 0.935 0.123 Au
```

=====

Zn3SiNi2: simulated PXRD pattern (λ = 1.5418 Å (Cu Kα)), based on a cell relaxed with GGA-PBE.

The 10 most intense peaks (5 to 70 degrees two-theta), in order of rising 2θ:
d (Å), I/Imax
3.236, 2
3.098, 9
2.683, 2
2.462, 7
2.191, 37
2.065, 100
1.897, 15
1.789, 9
1.503, 6
1.397, 5

Cell and atoms:
```
Zn3SiNi2
1.0
0.000 5.366 5.366
5.366 0.000 5.366
5.366 5.366 0.000
Zn Si Ni
12 4 8
direct
0.061 0.061 0.689 Zn
0.061 0.689 0.061 Zn
0.061 0.689 0.689 Zn
0.311 0.311 0.939 Zn
0.311 0.939 0.311 Zn
0.311 0.939 0.939 Zn
0.689 0.061 0.061 Zn
0.689 0.061 0.689 Zn
0.689 0.689 0.061 Zn
0.939 0.311 0.311 Zn
0.939 0.311 0.939 Zn
0.939 0.939 0.311 Zn
0.000 0.500 0.500 Si
0.500 0.000 0.500 Si
0.500 0.500 0.000 Si
0.500 0.500 0.500 Si
0.289 0.289 0.289 Ni
0.289 0.289 0.632 Ni
0.289 0.632 0.289 Ni
0.368 0.711 0.711 Ni
0.632 0.289 0.289 Ni
0.711 0.368 0.711 Ni
0.711 0.711 0.368 Ni
0.711 0.711 0.711 Ni
```

=====

CsZn: simulated PXRD pattern (λ = 1.5418 Å (Cu Kα)), based on a cell relaxed with GGA-PBE.

The 10 most intense peaks (5 to 70 degrees two-theta), in order of rising 2θ:
d (Å), I/Imax
9.556, 100
4.580, 49
3.791, 46
3.748, 50
3.410, 98
3.278, 49
3.212, 57
3.185, 80
2.362, 39
1.934, 38

Cell and atoms:
```
CsZn
1.0
13.514 0.000 0.000
0.000 13.514 0.000
0.000 0.000 4.869
Cs Zn
8 8
direct
0.000 0.283 0.000 Cs
0.000 0.717 0.000 Cs
0.283 0.000 0.000 Cs
0.330 0.330 0.500 Cs
0.330 0.670 0.500 Cs
0.670 0.330 0.500 Cs
0.670 0.670 0.500 Cs
0.717 0.000 0.000 Cs
0.098 0.500 0.500 Zn
0.160 0.500 0.000 Zn
0.500 0.098 0.500 Zn
0.500 0.160 0.000 Zn
0.500 0.840 0.000 Zn
0.500 0.902 0.500 Zn
0.840 0.500 0.000 Zn
0.902 0.500 0.500 Zn
```